[1]
Diffraction record for Na3CaAl3Si3SO16. The X-ray powder pattern is computed, not measured: it uses a crystal structure in the Materials Project, relaxed with PBE and Cu Kα.
Intensities are scaled so that the largest is 100.

Cell and atoms:
```
Na3CaAl3Si3SO16
1.0
7.8110 0.0000 0.0000
-2.5630 7.3927 0.0000
-2.4652 -3.8055 6.3942
Na Ca Al Si S O
3 1 3 3 1 16
Cartesian
0.0000 0.0000 0.0000
-1.2065 2.2560 4.0652
2.7020 -0.4888 4.0763
2.4702 3.8267 1.8516
0.3304 6.0276 0.8647
0.4574 -2.3790 5.6516
5.5329 -0.4513 2.5314
-2.1885 -0.5720 5.7104
-2.2036 5.1116 2.4672
5.5178 2.3563 0.9142
1.7309 2.2592 4.0355
-2.1469 3.4723 2.1316
-2.1848 0.0530 4.2120
-1.3431 5.9749 1.4066
-1.2101 -1.8508 5.9252
0.7769 4.3726 0.3681
0.9141 -2.0492 3.9761
-2.0048 3.3220 5.9423
1.1243 1.6879 2.7901
3.9946 -1.1803 2.2057
1.3084 1.5121 5.2403
3.9678 2.4068 0.3682
1.3096 3.7046 4.1163
3.2232 2.2440 3.8764
5.9837 0.9131 1.4994
4.0532 -1.0298 6.0568
4.0325 5.5288 2.2838
```

Top 10 peaks for 10° ≤ 2θ ≤ 80°, most intense first:
2θ (°)  d_spacing  I (rel.)
24.33  3.658  100
24.08  3.696  89
23.95  3.715  86
34.35  2.611  49
42.32  2.136  23
42.05  2.149  20
41.91  2.155  18
43.04  2.102  16
42.65  2.120  16
34.46  2.603  15

=====

[2]
Diffraction record for Na3CaAl3Si3SO16. The X-ray powder pattern is computed, not measured: it uses a crystal structure in the Materials Project, relaxed with PBE and Cu Kα.
Intensities are scaled so that the largest is 100.

Cell and atoms:
```
Na3CaAl3Si3SO16
1.0
7.8287 0.0000 0.0000
2.6230 7.4027 0.0000
0.0255 0.0189 12.8158
Na Ca Al Si S O
6 2 6 6 2 32
Cartesian
0.0000 0.0000 0.0000
2.7196 7.3635 8.3062
4.0029 1.3702 10.6089
5.3610 3.5963 1.5524
7.9253 4.1815 10.6175
9.0171 5.1265 4.1711
2.5898 0.3619 4.1929
5.2562 3.8345 6.7450
2.9911 4.1389 8.9777
2.9653 1.3744 0.9656
5.6518 6.0525 8.9899
5.5805 0.5027 5.8540
8.2300 5.0874 0.9807
8.1636 2.3649 5.8462
3.0444 4.1632 12.1690
2.9273 1.3558 7.3878
5.6359 6.0064 12.1746
5.6045 0.4509 2.6243
8.2937 5.1401 7.3918
8.1878 2.2754 2.6144
4.3750 5.1000 4.2347
6.8649 1.4823 10.5397
0.8439 2.0134 4.1655
1.3612 1.3676 1.7034
1.4003 1.3541 6.8087
3.0897 3.6100 10.6453
3.8979 5.8881 5.4290
3.9423 5.8256 3.0039
4.0922 5.4327 12.4128
4.1324 5.3611 8.5297
3.4608 2.9398 0.3650
3.4455 2.8434 7.8366
3.8738 3.7104 4.3104
2.9740 0.1983 12.5133
3.0544 0.3747 8.6698
3.8545 0.8710 6.1015
4.0607 0.9470 2.3111
5.8779 5.1268 4.3062
6.1344 5.7982 10.6486
6.5957 5.1595 0.3568
6.7294 5.1919 7.8817
6.3143 2.2436 9.3727
8.2391 7.3633 4.1730
6.4150 2.1192 11.8178
6.4858 1.9684 6.1061
6.6218 1.7486 2.3876
6.3707 0.0658 10.4953
8.7201 6.6351 1.6713
8.7911 6.5964 6.8512
8.2118 3.8641 2.2647
8.3476 4.0830 6.1373
9.1853 4.6759 8.6661
9.3874 4.7411 12.5130
8.3616 1.4787 10.4842
```

Top 10 peaks for 10° ≤ 2θ ≤ 80°, most intense first:
2θ (°)  d_spacing  I (rel.)
24.07  3.697  100
42.31  2.136  25
34.28  2.616  19
42.39  2.132  16
37.12  2.422  12
31.22  2.865  10
34.37  2.610  6
63.31  1.469  6
19.60  4.528  6
57.52  1.602  5

=====

[3]
Diffraction record for Na3CaAl3Si3SO16. The X-ray powder pattern is computed, not measured: it uses a crystal structure in the Materials Project, relaxed with PBE and Cu Kα.
Intensities are scaled so that the largest is 100.

Cell and atoms:
```
Na3CaAl3Si3SO16
1.0
7.8614 0.0000 0.0000
-2.6241 7.4163 0.0000
-0.0535 -0.1126 12.9360
Na Ca Al Si S O
6 2 6 6 2 32
Cartesian
0.0000 0.0000 0.0000
0.1462 0.1904 8.1979
0.0717 4.3009 10.3083
2.4341 3.3262 0.5946
4.1685 1.4741 10.3361
5.4498 0.6483 3.8915
-1.1646 5.3188 3.8726
2.9428 4.0680 6.3409
-0.0994 2.5345 5.5765
-0.2126 5.2379 0.6460
2.5169 0.7181 5.5782
2.4211 6.1981 8.6751
5.0524 1.5013 0.6452
5.0994 4.3037 8.6639
-0.2063 2.4297 2.3443
-0.2324 5.3403 7.0831
2.3980 0.6013 2.3350
2.3569 6.0144 11.8880
5.1790 1.5059 7.1018
4.9840 4.1696 11.8812
1.2815 1.6322 10.5667
3.7141 5.1567 3.6195
-0.6363 2.3246 3.9070
-1.4535 4.8055 12.3490
-0.1449 1.7765 10.1403
-1.1319 4.8733 8.3465
-0.2138 4.0358 1.9677
-0.3321 4.2867 5.8101
-0.7221 6.6872 1.5192
-0.7644 6.7721 6.4907
1.3591 1.4611 12.0599
1.3205 1.8363 2.1017
1.8864 0.4465 9.8869
1.6003 2.1900 5.8586
2.3874 0.1209 3.9034
2.0473 2.8646 10.2025
1.2873 5.1616 12.7836
1.3363 5.3513 7.5475
1.9201 5.9494 10.3292
3.8688 1.1279 1.9027
2.5094 5.5046 4.4434
4.2180 1.0450 5.8564
3.3589 4.5904 2.3278
5.1094 0.1512 12.3510
5.0691 0.5102 8.3841
4.5431 2.8604 12.7444
4.6451 2.9888 7.5659
3.8655 5.3675 12.1286
3.9532 5.5238 8.1733
4.5499 4.1920 4.4519
5.0792 3.7584 10.3181
4.5754 6.3831 3.4579
6.6285 1.5730 1.4257
6.7351 1.5430 6.5927
```

Top 10 peaks for 10° ≤ 2θ ≤ 80°, most intense first:
2θ (°)  d_spacing  I (rel.)
23.99  3.710  100
23.81  3.738  41
34.20  2.622  25
42.07  2.148  18
24.06  3.699  13
42.21  2.141  12
41.93  2.155  11
31.09  2.876  9
19.51  4.551  9
42.31  2.136  9